For PrSm2Y5Tm, a crystal structure in Alexandria, relaxed with PBE gives the simulated powder X-ray diffraction pattern in this record (Cu Kα).
Lines closer than 0.1° are merged.

Main lines, low angle first (10° ≤ 2θ ≤ 80°):
- 2θ = 22.47°, d 3.956, intensity 13
- 2θ = 28.69°, d 3.111, intensity 60
- 2θ = 29.32°, d 3.046, intensity 49
- 2θ = 30.68°, d 2.914, intensity 100
- 2θ = 32.87°, d 2.724, intensity 17
- 2θ = 36.75°, d 2.446, intensity 17
- 2θ = 38.09°, d 2.363, intensity 22
- 2θ = 43.55°, d 2.078, intensity 22
- 2θ = 45.88°, d 1.978, intensity 15
- 2θ = 52.86°, d 1.732, intensity 22
- 2θ = 55.38°, d 1.659, intensity 13
- 2θ = 59.46°, d 1.555, intensity 15

Structural model:
```
data_PrSm2Y5Tm
_space_group_name_H-M_alt 'I 4/m c m'
_space_group_IT_number 140
_space_group_name_Hall '-I 4 2c'
_cell_length_a 8.616
_cell_length_b 8.616
_cell_length_c 15.825
_cell_angle_alpha 90.00
_cell_angle_beta 90.00
_cell_angle_gamma 90.00
loop_
_atom_site_label
_atom_site_type_symbol
_atom_site_fract_x
_atom_site_fract_y
_atom_site_fract_z
Pr1 Pr 0.000 0.500 0.250
Sm1 Sm 0.119 0.381 0.000
Y1 Y 0.000 0.000 0.000
Y2 Y 0.206 0.294 0.362
Tm1 Tm 0.000 0.000 0.250
```